Entry 1:
For RbBaHoI6, DFT lattice parameters and positions (PBE) gives the theoretical powder diffraction line list in this record (Cu Kα, 1.54184 Å).
Peak positions follow from Bragg's law for the DFT cell and can differ from measured ones.

Largest 10 diffraction maxima, in order of rising 2θ, 2θ = 10–90°:
| 2θ/deg | Rel. int. | hkl |
| --- | --- | --- |
| 11.48 | 19.6 | 0 0 2 |
| 11.96 | 14.2 | 1 0 0 |
| 16.61 | 36.3 | 1 0 2 |
| 23.82 | 100.0 | 1 1 2 |
| 31.26 | 68.5 | 1 1 4 |
| 34.11 | 20.2 | 2 1 2 |
| 36.43 | 38.6 | 3 0 0 |
| 40.99 | 25.9 | 2 -1 6 |
| 48.75 | 17.2 | 4 -2 4 |
| 61.02 | 14.9 | 3 0 8 |

Structural model:
```
data_RbBaHoI6
_space_group_name_H-M_alt 'P -3 1 c'
_space_group_IT_number 163
_space_group_name_Hall '-P 3 2c'
_cell_length_a 8.5424
_cell_length_b 8.5424
_cell_length_c 15.4170
_cell_angle_alpha 90.00
_cell_angle_beta 90.00
_cell_angle_gamma 120.00
loop_
_atom_site_label
_atom_site_type_symbol
_atom_site_fract_x
_atom_site_fract_y
_atom_site_fract_z
_atom_site_occupancy
Rb1 Rb 0.0000 0.0000 0.0000 1
Ba1 Ba 0.3333 0.6667 0.2500 1
Ho1 Ho 0.3333 0.6667 0.7500 1
I1 I 0.0384 0.3860 0.6341 1
```

=====

Entry 2:
For BaHoInS4, DFT lattice parameters and positions (PBE) gives the theoretical powder diffraction line list in this record (Cu Kα, 1.54184 Å).
Peak positions follow from Bragg's law for the DFT cell and can differ from measured ones.

Largest 10 diffraction maxima, in order of rising 2θ, 2θ = 10–90°:
| 2θ/deg | Rel. int. | hkl |
| --- | --- | --- |
| 10.89 | 36.9 | 0 0 1 |
| 16.77 | 28.2 | 0 1 1 |
| 18.59 | 45.6 | 1 1 0 |
| 25.38 | 36.6 | 0 1 2 |
| 25.58 | 100.0 | 0 2 0 |
| 31.85 | 67.3 | 1 1 2 |
| 32.27 | 73.5 | 2 1 -2 |
| 37.70 | 43.8 | 2 2 0 |
| 42.52 | 23.1 | 1 0 -4 |
| 49.22 | 28.7 | 1 3 2 |

Structural model:
```
data_BaHoInS4
_space_group_name_H-M_alt 'P 1 21/m 1'
_space_group_IT_number 11
_cell_length_a 6.861
_cell_length_b 6.962
_cell_length_c 8.505
_cell_angle_alpha 90.00
_cell_angle_beta 107.17
_cell_angle_gamma 90.00
loop_
_space_group_symop_operation_xyz
'x,y,z'
'-x,-y,-z'
'-x,y+1/2,-z'
'x,-y+1/2,z'
loop_
_atom_site_label
_atom_site_type_symbol
_atom_site_fract_x
_atom_site_fract_y
_atom_site_fract_z
_atom_site_occupancy
Ba1 Ba 0.241 0.250 0.052 1
Ho1 Ho 0.204 0.250 0.550 1
In1 In 0.252 0.750 0.335 1
S1 S 0.010 0.508 0.712 1
S2 S 0.464 0.750 0.151 1
S3 S 0.498 0.250 0.398 1
```

=====

Entry 3:
For BaLaHo, DFT lattice parameters and positions (PBE) gives the theoretical powder diffraction line list in this record (Cu Kα, 1.54184 Å).
Peak positions follow from Bragg's law for the DFT cell and can differ from measured ones.

Largest 10 diffraction maxima, in order of rising 2θ, 2θ = 10–90°:
| 2θ/deg | Rel. int. | hkl |
| --- | --- | --- |
| 28.22 | 100.0 | 1 0 3 |
| 32.33 | 14.6 | 0 0 6 |
| 32.88 | 35.6 | 1 1 0 |
| 46.78 | 20.8 | 1 1 6 |
| 47.19 | 12.9 | 2 0 0 |
| 55.17 | 9.2 | 1 0 9 |
| 55.89 | 29.5 | 2 1 3 |
| 58.36 | 10.8 | 2 0 6 |
| 75.47 | 7.3 | 2 1 9 |
| 87.48 | 7.2 | 3 1 6 |

Structural model:
```
data_BaLaHo
_space_group_name_H-M_alt 'I 4 m m'
_space_group_IT_number 107
_space_group_name_Hall 'I 4 -2'
_cell_length_a 3.852
_cell_length_b 3.852
_cell_length_c 16.616
_cell_angle_alpha 90.00
_cell_angle_beta 90.00
_cell_angle_gamma 90.00
loop_
_atom_site_label
_atom_site_type_symbol
_atom_site_fract_x
_atom_site_fract_y
_atom_site_fract_z
_atom_site_occupancy
Ba1 Ba 0.000 0.000 0.000 1
La1 La 0.000 0.000 0.687 1
Ho1 Ho 0.000 0.000 0.323 1
```

=====

Entry 4:
For BaLiHoO3, DFT lattice parameters and positions (PBE) gives the theoretical powder diffraction line list in this record (Cu Kα, 1.54184 Å).
Peak positions follow from Bragg's law for the DFT cell and can differ from measured ones.

Largest 10 diffraction maxima, in order of rising 2θ, 2θ = 10–90°:
| 2θ/deg | Rel. int. | hkl |
| --- | --- | --- |
| 17.00 | 53.2 | 1 0 0 |
| 22.37 | 45.9 | 1 0 1 |
| 29.66 | 100.0 | 1 1 0 |
| 33.91 | 85.6 | 1 0 2 |
| 37.47 | 30.9 | 2 0 1 |
| 45.66 | 49.4 | 2 0 2 |
| 52.63 | 20.5 | 3 0 0 |
| 55.40 | 45.1 | 2 1 2 |
| 68.70 | 18.8 | 1 1 4 |
| 72.19 | 19.8 | 3 1 2 |

Structural model:
```
data_BaLiHoO3
_space_group_name_H-M_alt 'P 63/m m c'
_space_group_IT_number 194
_space_group_name_Hall '-P 6c 2c'
_cell_length_a 6.0241
_cell_length_b 6.0241
_cell_length_c 6.1327
_cell_angle_alpha 90.00
_cell_angle_beta 90.00
_cell_angle_gamma 120.00
loop_
_atom_site_label
_atom_site_type_symbol
_atom_site_fract_x
_atom_site_fract_y
_atom_site_fract_z
_atom_site_occupancy
Ba1 Ba 0.3333 0.6667 0.2500 1
Li1 Li 0.3333 0.6667 0.7500 1
Ho1 Ho 0.0000 0.0000 0.0000 1
O1 O 0.1606 0.3213 0.7500 1
```

=====

Entry 5:
For BaHo2Mg3, DFT lattice parameters and positions (PBE) gives the theoretical powder diffraction line list in this record (Cu Kα, 1.54184 Å).
Peak positions follow from Bragg's law for the DFT cell and can differ from measured ones.

Largest 10 diffraction maxima, in order of rising 2θ, 2θ = 10–90°:
| 2θ/deg | Rel. int. | hkl |
| --- | --- | --- |
| 21.11 | 36.7 | 0 0 3 |
| 23.22 | 65.3 | 1 0 0 |
| 31.58 | 100.0 | 1 0 3 |
| 33.07 | 53.3 | 1 1 0 |
| 39.57 | 29.6 | 1 1 3 |
| 47.46 | 19.3 | 2 0 0 |
| 49.39 | 17.4 | 1 0 6 |
| 52.49 | 13.1 | 2 0 3 |
| 53.48 | 13.9 | 2 1 0 |
| 58.13 | 34.9 | 2 1 3 |

Structural model:
```
data_BaHo2Mg3
_space_group_name_H-M_alt 'P 4/m m m'
_space_group_IT_number 123
_space_group_name_Hall '-P 4 2'
_cell_length_a 3.831
_cell_length_b 3.831
_cell_length_c 12.624
_cell_angle_alpha 90.00
_cell_angle_beta 90.00
_cell_angle_gamma 90.00
loop_
_atom_site_label
_atom_site_type_symbol
_atom_site_fract_x
_atom_site_fract_y
_atom_site_fract_z
_atom_site_occupancy
Ba1 Ba 0.000 0.000 0.000 1
Ho1 Ho 0.000 0.000 0.358 1
Mg1 Mg 0.500 0.500 0.206 1
Mg2 Mg 0.500 0.500 0.500 1
```

=====

Entry 6:
For BaHo2P2N6, DFT lattice parameters and positions (PBE) gives the theoretical powder diffraction line list in this record (Cu Kα, 1.54184 Å).
Peak positions follow from Bragg's law for the DFT cell and can differ from measured ones.

Largest 10 diffraction maxima, in order of rising 2θ, 2θ = 10–90°:
| 2θ/deg | Rel. int. | hkl |
| --- | --- | --- |
| 17.92 | 100.0 | 1 -1 0 |
| 27.03 | 51.6 | 1 1 -1 |
| 27.17 | 30.4 | 1 0 1 |
| 28.37 | 60.1 | 0 1 -2 |
| 29.77 | 64.0 | 0 1 1 |
| 31.04 | 29.5 | 1 0 -2 |
| 32.46 | 34.0 | 0 2 -1 |
| 32.77 | 36.4 | 2 0 -1 |
| 36.30 | 36.5 | 1 -2 2 |
| 49.31 | 28.5 | 0 0 3 |

Structural model:
```
data_BaHo2P2N6
_space_group_name_H-M_alt 'P -1'
_space_group_IT_number 2
_cell_length_a 6.012
_cell_length_b 6.016
_cell_length_c 6.382
_cell_angle_alpha 112.70
_cell_angle_beta 97.57
_cell_angle_gamma 113.35
loop_
_space_group_symop_operation_xyz
'x,y,z'
'-x,-y,-z'
loop_
_atom_site_label
_atom_site_type_symbol
_atom_site_fract_x
_atom_site_fract_y
_atom_site_fract_z
_atom_site_occupancy
Ba1 Ba 0.000 0.000 0.000 1
Ho1 Ho 0.298 0.368 0.670 1
P1 P 0.256 0.703 0.281 1
N1 N 0.142 0.902 0.382 1
N2 N 0.286 0.524 0.402 1
N3 N 0.356 0.665 0.058 1
```

=====

Entry 7:
For Ba2HoVN4, DFT lattice parameters and positions (PBE) gives the theoretical powder diffraction line list in this record (Cu Kα, 1.54184 Å).
Peak positions follow from Bragg's law for the DFT cell and can differ from measured ones.

Largest 10 diffraction maxima, in order of rising 2θ, 2θ = 10–90°:
| 2θ/deg | Rel. int. | hkl |
| --- | --- | --- |
| 16.53 | 79.8 | 0 0 4 |
| 17.85 | 72.7 | 1 1 1 |
| 27.14 | 78.8 | 1 1 5 |
| 27.72 | 37.5 | 1 3 1 |
| 29.10 | 100.0 | 0 2 6 |
| 29.91 | 55.9 | 0 4 0 |
| 34.59 | 66.8 | 1 3 5 |
| 35.14 | 81.4 | 2 2 0 |
| 40.71 | 39.2 | 2 0 6 |
| 51.33 | 40.5 | 2 4 6 |

Structural model:
```
data_Ba2HoVN4
_space_group_name_H-M_alt 'F d d d'
_space_group_IT_number 70
_cell_length_a 5.649
_cell_length_b 11.948
_cell_length_c 21.455
_cell_angle_alpha 90.00
_cell_angle_beta 90.00
_cell_angle_gamma 90.00
loop_
_space_group_symop_operation_xyz
'x,y,z'
'-x,-y,-z'
'-x+1/4,-y+1/4,z'
'x+1/4,y+1/4,-z'
'x,-y+1/4,-z+1/4'
'-x,y+1/4,z+1/4'
'-x+1/4,y,-z+1/4'
'x+1/4,-y,z+1/4'
'x,y+1/2,z+1/2'
'-x,-y+1/2,-z+1/2'
'-x+1/4,-y+3/4,z+1/2'
'x+1/4,y+3/4,-z+1/2'
'x,-y+3/4,-z+3/4'
'-x,y+3/4,z+3/4'
'-x+1/4,y+1/2,-z+3/4'
'x+1/4,-y+1/2,z+3/4'
'x+1/2,y,z+1/2'
'-x+1/2,-y,-z+1/2'
'-x+3/4,-y+1/4,z+1/2'
'x+3/4,y+1/4,-z+1/2'
'x+1/2,-y+1/4,-z+3/4'
'-x+1/2,y+1/4,z+3/4'
'-x+3/4,y,-z+3/4'
'x+3/4,-y,z+3/4'
'x+1/2,y+1/2,z'
'-x+1/2,-y+1/2,-z'
'-x+3/4,-y+3/4,z'
'x+3/4,y+3/4,-z'
'x+1/2,-y+3/4,-z+1/4'
'-x+1/2,y+3/4,z+1/4'
'-x+3/4,y+1/2,-z+1/4'
'x+3/4,-y+1/2,z+1/4'
loop_
_atom_site_label
_atom_site_type_symbol
_atom_site_fract_x
_atom_site_fract_y
_atom_site_fract_z
_atom_site_occupancy
Ba1 Ba 0.125 0.125 0.313 1
Ho1 Ho 0.125 0.125 0.125 1
V1 V 0.125 0.125 0.625 1
N1 N 0.082 0.279 0.835 1
```

=====

Entry 8:
For Ba2Ho2O5, DFT lattice parameters and positions (PBE) gives the theoretical powder diffraction line list in this record (Cu Kα, 1.54184 Å).
Peak positions follow from Bragg's law for the DFT cell and can differ from measured ones.

Largest 10 diffraction maxima, in order of rising 2θ, 2θ = 10–90°:
| 2θ/deg | Rel. int. | hkl |
| --- | --- | --- |
| 24.13 | 57.6 | 1 1 -1 |
| 25.00 | 43.6 | 2 0 -2 |
| 29.58 | 95.4 | 1 1 1 |
| 29.90 | 100.0 | 3 1 -1 |
| 30.14 | 35.3 | 0 0 2 |
| 30.77 | 34.2 | 4 0 -2 |
| 34.65 | 56.6 | 4 0 0 |
| 41.91 | 39.8 | 0 2 0 |
| 43.51 | 51.5 | 3 1 -3 |
| 55.47 | 28.7 | 4 2 0 |

Structural model:
```
data_Ba2Ho2O5
_space_group_name_H-M_alt 'C 1 2/m 1'
_space_group_IT_number 12
_cell_length_a 12.444
_cell_length_b 4.311
_cell_length_c 7.126
_cell_angle_alpha 90.00
_cell_angle_beta 123.68
_cell_angle_gamma 90.00
loop_
_space_group_symop_operation_xyz
'x,y,z'
'-x,-y,-z'
'-x,y,-z'
'x,-y,z'
'x+1/2,y+1/2,z'
'-x+1/2,-y+1/2,-z'
'-x+1/2,y+1/2,-z'
'x+1/2,-y+1/2,z'
loop_
_atom_site_label
_atom_site_type_symbol
_atom_site_fract_x
_atom_site_fract_y
_atom_site_fract_z
_atom_site_occupancy
Ba1 Ba 0.130 0.000 0.479 1
Ho1 Ho 0.113 0.500 0.915 1
O1 O 0.000 0.500 0.500 1
O2 O 0.112 0.500 0.224 1
O3 O 0.157 0.000 0.885 1
```

=====

Entry 9:
For Ba3Ho4O9, DFT lattice parameters and positions (PBE) gives the theoretical powder diffraction line list in this record (Cu Kα, 1.54184 Å).
Peak positions follow from Bragg's law for the DFT cell and can differ from measured ones.

Largest 10 diffraction maxima, in order of rising 2θ, 2θ = 10–90°:
| 2θ/deg | Rel. int. | hkl |
| --- | --- | --- |
| 18.11 | 13.5 | 0 1 2 |
| 29.15 | 100.0 | 1 1 0 |
| 29.75 | 80.3 | 1 0 7 |
| 42.14 | 41.7 | 0 2 7 |
| 43.51 | 17.8 | 2 -1 9 |
| 51.69 | 22.9 | 3 0 0 |
| 52.06 | 35.5 | 3 -1 7 |
| 60.44 | 16.0 | 2 2 0 |
| 68.79 | 17.6 | 1 3 7 |
| 76.38 | 12.3 | 4 0 7 |

Structural model:
```
data_Ba3Ho4O9
_space_group_name_H-M_alt 'R 3'
_space_group_IT_number 146
_space_group_name_Hall 'R 3'
_cell_length_a 6.1262
_cell_length_b 6.1262
_cell_length_c 25.4982
_cell_angle_alpha 90.00
_cell_angle_beta 90.00
_cell_angle_gamma 120.00
loop_
_atom_site_label
_atom_site_type_symbol
_atom_site_fract_x
_atom_site_fract_y
_atom_site_fract_z
_atom_site_occupancy
Ba1 Ba 0.0000 0.0000 0.0000 1
Ba2 Ba 0.0000 0.0000 0.1655 1
Ba3 Ba 0.0000 0.0000 0.5867 1
Ho1 Ho 0.0000 0.0000 0.3005 1
Ho2 Ho 0.0000 0.0000 0.4262 1
Ho3 Ho 0.0000 0.0000 0.7391 1
Ho4 Ho 0.0000 0.0000 0.8643 1
O1 O 0.0011 0.5607 0.5826 1
O2 O 0.0125 0.4529 0.0257 1
O3 O 0.1126 0.3484 0.4712 1
```

=====

Entry 10:
For BaHoOs2O8, DFT lattice parameters and positions (PBE) gives the theoretical powder diffraction line list in this record (Cu Kα, 1.54184 Å).
Peak positions follow from Bragg's law for the DFT cell and can differ from measured ones.

Largest 10 diffraction maxima, in order of rising 2θ, 2θ = 10–90°:
| 2θ/deg | Rel. int. | hkl |
| --- | --- | --- |
| 20.88 | 100.0 | 0 1 1 |
| 29.28 | 68.8 | 1 0 2 |
| 30.10 | 71.6 | 1 1 0 |
| 39.76 | 15.6 | 0 1 3 |
| 42.50 | 33.1 | 0 2 2 |
| 48.35 | 21.9 | 1 2 1 |
| 52.95 | 27.9 | 2 1 2 |
| 53.46 | 14.5 | 3 0 0 |
| 57.74 | 21.4 | 1 1 4 |
| 62.58 | 12.0 | 2 2 0 |

Structural model:
```
data_BaHoOs2O8
_space_group_name_H-M_alt 'P -3 m 1'
_space_group_IT_number 164
_space_group_name_Hall '-P 3 2"'
_cell_length_a 5.9372
_cell_length_b 5.9372
_cell_length_c 7.5764
_cell_angle_alpha 90.00
_cell_angle_beta 90.00
_cell_angle_gamma 120.00
loop_
_atom_site_label
_atom_site_type_symbol
_atom_site_fract_x
_atom_site_fract_y
_atom_site_fract_z
_atom_site_occupancy
Ba1 Ba 0.0000 0.0000 0.0000 1
Ho1 Ho 0.0000 0.0000 0.5000 1
Os1 Os 0.3333 0.6667 0.7699 1
O1 O 0.1633 0.3266 0.6942 1
O2 O 0.3333 0.6667 0.0082 1
```

=====

Entry 11:
For BaHoPa2O8, DFT lattice parameters and positions (PBE) gives the theoretical powder diffraction line list in this record (Cu Kα, 1.54184 Å).
Peak positions follow from Bragg's law for the DFT cell and can differ from measured ones.

Largest 10 diffraction maxima, in order of rising 2θ, 2θ = 10–90°:
| 2θ/deg | Rel. int. | hkl |
| --- | --- | --- |
| 27.85 | 100.0 | 1 1 2 |
| 32.06 | 23.6 | 2 0 0 |
| 32.69 | 11.1 | 0 0 4 |
| 45.98 | 17.2 | 2 2 0 |
| 46.44 | 33.7 | 2 0 4 |
| 54.61 | 31.6 | 3 1 2 |
| 55.43 | 15.7 | 1 1 6 |
| 57.55 | 10.2 | 2 2 4 |
| 74.79 | 12.9 | 3 1 6 |
| 85.47 | 11.0 | 4 2 4 |

Structural model:
```
data_BaHoPa2O8
_space_group_name_H-M_alt 'I -4'
_space_group_IT_number 82
_cell_length_a 5.583
_cell_length_b 5.583
_cell_length_c 10.958
_cell_angle_alpha 90.00
_cell_angle_beta 90.00
_cell_angle_gamma 90.00
loop_
_space_group_symop_operation_xyz
'x,y,z'
'y,-x,-z'
'-x,-y,z'
'-y,x,-z'
'x+1/2,y+1/2,z+1/2'
'y+1/2,-x+1/2,-z+1/2'
'-x+1/2,-y+1/2,z+1/2'
'-y+1/2,x+1/2,-z+1/2'
loop_
_atom_site_label
_atom_site_type_symbol
_atom_site_fract_x
_atom_site_fract_y
_atom_site_fract_z
_atom_site_occupancy
Ba1 Ba 0.000 0.000 0.000 1
Ho1 Ho 0.000 0.500 0.750 1
Pa1 Pa 0.000 0.000 0.500 1
Pa2 Pa 0.000 0.500 0.250 1
O1 O 0.224 0.236 0.368 1
O2 O 0.224 0.765 0.369 1
```

=====

Entry 12:
For Ba3HoPa2O9, DFT lattice parameters and positions (PBE) gives the theoretical powder diffraction line list in this record (Cu Kα, 1.54184 Å).
Peak positions follow from Bragg's law for the DFT cell and can differ from measured ones.

Largest 10 diffraction maxima, in order of rising 2θ, 2θ = 10–90°:
| 2θ/deg | Rel. int. | hkl |
| --- | --- | --- |
| 19.94 | 10.3 | 1 0 1 |
| 28.34 | 100.0 | 1 1 0 |
| 40.51 | 28.0 | 2 0 2 |
| 45.54 | 4.8 | 1 1 3 |
| 50.18 | 42.3 | 3 0 0 |
| 58.63 | 18.2 | 2 2 0 |
| 66.38 | 18.6 | 3 1 2 |
| 73.72 | 4.6 | 0 4 2 |
| 80.68 | 10.7 | 1 3 4 |
| 80.78 | 11.2 | 4 1 0 |

Structural model:
```
data_Ba3HoPa2O9
_space_group_name_H-M_alt 'P -3 m 1'
_space_group_IT_number 164
_space_group_name_Hall '-P 3 2"'
_cell_length_a 6.2947
_cell_length_b 6.2947
_cell_length_c 7.7230
_cell_angle_alpha 90.00
_cell_angle_beta 90.00
_cell_angle_gamma 120.00
loop_
_atom_site_label
_atom_site_type_symbol
_atom_site_fract_x
_atom_site_fract_y
_atom_site_fract_z
_atom_site_occupancy
Ba1 Ba 0.0000 0.0000 0.0000 1
Ba2 Ba 0.3333 0.6667 0.6540 1
Ho1 Ho 0.0000 0.0000 0.5000 1
Pa1 Pa 0.3333 0.6667 0.1703 1
O1 O 0.0000 0.5000 0.0000 1
O2 O 0.1687 0.3375 0.3328 1
```